Calculated XRD peak list of CeCu6 for Cu Kα, from a structure optimized by DFT (GGA-PBE).
Kinematic intensities with the Lorentz-polarization factor, no thermal factor.

Cell and atoms:
```
CeCu6
1.0
8.0595 0.0000 0.0000
0.0000 5.0264 0.0000
0.0000 0.0000 10.0932
Ce Cu
4 24
Cartesian
1.9388 1.2566 0.6535
2.0909 3.7698 5.7001
5.9686 1.2566 4.3932
6.1207 3.7698 9.4398
0.4971 3.7698 0.9580
0.5200 0.0259 3.1118
0.5200 2.4873 3.1118
0.8056 1.2566 5.2050
1.1761 3.7698 8.6467
1.4712 1.2566 7.6312
2.5586 3.7698 2.5846
2.8536 1.2566 3.6001
3.2242 3.7698 0.1584
3.5097 2.5391 8.1584
3.5097 5.0005 8.1584
3.5327 1.2566 6.0047
4.5269 3.7698 4.0886
4.5498 0.0259 1.9348
4.5498 2.4873 1.9348
4.8353 1.2566 9.9349
5.2059 3.7698 6.4932
5.5010 1.2566 7.5087
6.5883 3.7698 2.4620
6.8834 1.2566 1.4465
7.2540 3.7698 4.8883
7.5395 2.5391 6.9814
7.5395 5.0005 6.9814
7.5625 1.2566 9.1352
```

Peak list (6 most intense, 2θ from 15° to 90°, by angle)
35.73 deg, I = 36, hkl 0 2 0; 37.34 deg, I = 56, hkl 1 0 4; 39.05 deg, I = 100, hkl 3 1 1; 39.22 deg, I = 82, hkl 2 1 3; 46.13 deg, I = 41, hkl 2 1 4; 46.49 deg, I = 41, hkl 1 2 3